Structure and simulated powder XRD pattern of Al2PbAu2 (a cell relaxed with GGA-PBE; Cu Kα, 1.54184 Å).
Kinematic intensities with the Lorentz-polarization factor, no thermal factor.

Cell and atoms:
Lattice parameters (Å, degrees): 4.4944 4.4944 10.5675 90.00 90.00 90.00
Space group I4/mmm (No. 139)
Asymmetric unit:
Al1 0.0000 0.0000 0.1243
Pb1 0.0000 0.0000 0.5000
Au1 0.0000 0.5000 0.2500

Peak list (6 most intense, 10° ≤ 2θ ≤ 90°, low angle first)
2θ (°)	I (rel.)	index
21.49	21	1 0 1
32.89	100	1 1 2
33.93	19	0 0 4
40.13	35	2 0 0
53.54	21	2 0 4
68.35	25	3 1 2